For CaPb5Br12, a crystal structure in Alexandria, relaxed with GGA-PBE gives the theoretical X-ray powder pattern in this record (Cu Ka).
Neutral-atom scattering factors, no anomalous dispersion.

Crystal structure
```
18
Lattice="3.845 -6.698 0.000 3.845 6.698 0.000 -0.010 0.000 13.858" Properties=species:S:1:pos:R:3 pbc="T T T"
Ca 0.000 0.000 0.000
Pb 3.840 4.465 6.929
Pb 3.845 2.233 0.000
Pb 3.840 0.000 6.929
Pb 3.845 -2.233 0.000
Pb 3.840 -4.465 6.929
Br 2.613 4.558 12.256
Br 1.271 0.000 5.247
Br 2.565 2.234 8.613
Br 5.067 4.558 1.603
Br 2.452 0.000 12.257
Br 5.115 2.234 5.246
Br 2.565 -2.234 8.613
Br 5.228 0.000 1.602
Br 2.613 -4.558 12.256
Br 5.115 -2.234 5.246
Br 6.409 0.000 8.611
Br 5.067 -4.558 1.603
```

The 10 most intense peaks (2θ from 15° to 90°), by angle:
d [Å]  two_theta  Rel. int.
3.718  23.93  44
3.369  26.46  84
2.962  30.18  100
2.574  34.85  40
2.251  40.05  51
2.233  40.40  22
2.195  41.12  65
1.981  45.80  21
1.687  54.40  21
1.478  62.87  18

***

For Sr2LiTl6Cd, a crystal structure in Alexandria, relaxed with GGA-PBE gives the theoretical X-ray powder pattern in this record (Cu Ka).
Neutral-atom scattering factors, no anomalous dispersion.

Crystal structure
```
10
Lattice="6.319 0.000 0.000 3.139 6.920 0.000 3.091 -0.904 7.046" Properties=species:S:1:pos:R:3 pbc="T T T"
Sr 3.136 1.644 1.815
Sr 9.414 4.372 5.231
Li 0.000 0.000 0.000
Tl 4.700 5.393 2.110
Tl 6.255 3.253 6.486
Tl 4.698 0.622 4.975
Tl 7.851 5.393 2.072
Tl 6.294 2.763 0.560
Tl 7.850 0.623 4.937
Cd 6.275 3.008 3.523
```

The 10 most intense peaks (2θ from 15° to 90°), by angle:
d [Å]  two_theta  Rel. int.
5.262  16.85  100
3.678  24.20  34
2.984  29.95  67
2.941  30.39  51
2.874  31.12  43
2.714  33.01  34
2.621  34.21  42
2.597  34.54  60
2.316  38.89  47
1.580  58.43  40

***

For Ho4Er2Th, a crystal structure in Alexandria, relaxed with GGA-PBE gives the theoretical X-ray powder pattern in this record (Cu Ka).
Neutral-atom scattering factors, no anomalous dispersion.

Crystal structure
```
14
Lattice="6.181 0.000 0.000 0.000 3.570 0.000 -2.068 0.000 19.862" Properties=species:S:1:pos:R:3 pbc="T T T"
Ho 0.000 0.000 0.000
Ho -1.038 1.785 11.251
Ho 0.001 0.000 5.602
Ho -1.042 1.785 17.033
Ho 3.090 1.785 0.000
Ho 2.053 0.000 11.251
Ho 3.092 1.785 5.602
Ho 2.049 0.000 17.033
Er 1.030 1.785 2.805
Er 1.026 1.785 8.424
Er 4.121 0.000 2.805
Er 4.117 0.000 8.424
Th 1.020 1.785 14.146
Th 4.110 0.000 14.146
```

The 10 most intense peaks (2θ from 15° to 90°), by angle:
d [Å]  two_theta  Rel. int.
3.087  28.93  38
2.837  31.53  52
2.744  32.64  100
2.685  33.38  93
1.785  51.19  41
1.632  56.37  21
1.595  57.81  19
1.511  61.37  47
1.496  62.04  16
1.111  87.93  18

***

For Rb2InI4, a crystal structure in Alexandria, relaxed with GGA-PBE gives the theoretical X-ray powder pattern in this record (Cu Ka).
Neutral-atom scattering factors, no anomalous dispersion.

Crystal structure
```
14
Lattice="8.631 0.000 0.000 0.000 8.631 0.000 0.000 0.000 9.544" Properties=species:S:1:pos:R:3 pbc="T T T"
Rb 0.000 4.316 2.386
Rb 0.000 4.316 7.158
Rb 4.316 0.000 2.386
Rb 4.316 0.000 7.158
In 0.000 0.000 0.000
In 4.316 4.316 4.772
I 2.151 2.151 4.786
I 2.151 6.480 4.759
I 2.165 2.165 0.013
I 2.165 6.467 9.531
I 6.467 2.165 9.531
I 6.467 6.467 0.013
I 6.480 2.151 4.759
I 6.480 6.480 4.786
```

The 10 most intense peaks (2θ from 15° to 90°), by angle:
d [Å]  two_theta  Rel. int.
4.772  18.59  43
3.759  23.67  41
3.201  27.87  100
3.052  29.27  89
2.571  34.90  35
2.369  37.98  24
2.158  41.87  33
1.880  48.43  43
1.789  51.05  36
1.600  57.59  25

***

For Cs3Ce6Cl20, a crystal structure in Alexandria, relaxed with GGA-PBE gives the theoretical X-ray powder pattern in this record (Cu Ka).
Neutral-atom scattering factors, no anomalous dispersion.

Crystal structure
```
29
Lattice="0.000 7.439 7.439 7.439 0.000 7.439 7.439 7.439 0.000" Properties=species:S:1:pos:R:3 pbc="T T T"
Cs 0.000 0.000 0.000
Cs 3.719 3.719 3.719
Cs 11.158 11.158 11.158
Ce 7.439 7.439 3.963
Ce 7.439 3.963 7.439
Ce 10.914 7.439 7.439
Ce 3.963 7.439 7.439
Ce 7.439 10.914 7.439
Ce 7.439 7.439 10.914
Cl 2.479 2.479 0.000
Cl 4.960 4.960 0.000
Cl 2.479 0.000 2.479
Cl 7.439 4.960 2.479
Cl 4.960 0.000 4.960
Cl 7.439 2.479 4.960
Cl 9.129 5.748 5.748
Cl 0.000 2.479 2.479
Cl 4.960 7.439 2.479
Cl 4.960 2.479 7.439
Cl 5.748 5.748 5.748
Cl 9.129 9.129 5.748
Cl 9.129 5.748 9.129
Cl 5.748 9.129 5.748
Cl 5.748 5.748 9.129
Cl 9.129 9.129 9.129
Cl 0.000 4.960 4.960
Cl 2.479 7.439 4.960
Cl 2.479 4.960 7.439
Cl 5.748 9.129 9.129
```

The 10 most intense peaks (2θ from 15° to 90°), by angle:
d [Å]  two_theta  Rel. int.
4.295  20.68  92
3.719  23.93  58
2.863  31.24  41
2.630  34.09  100
2.243  40.21  72
2.147  42.08  21
1.860  48.98  19
1.707  53.71  22
1.663  55.22  18
1.518  61.02  40

***

For NaPrHg6, a crystal structure in Alexandria, relaxed with GGA-PBE gives the theoretical X-ray powder pattern in this record (Cu Ka).
Neutral-atom scattering factors, no anomalous dispersion.

Crystal structure
```
8
Lattice="6.737 0.000 0.000 -3.369 5.835 0.000 0.000 0.000 5.197" Properties=species:S:1:pos:R:3 pbc="T T T"
Na 0.000 0.000 0.000
Pr 0.000 3.890 2.598
Hg 1.691 0.976 2.598
Hg 3.369 0.056 0.000
Hg 1.733 2.889 0.000
Hg 5.047 0.976 2.598
Hg 3.369 3.883 2.598
Hg 5.005 2.889 0.000
```

The 10 most intense peaks (2θ from 15° to 90°), by angle:
d [Å]  two_theta  Rel. int.
3.881  22.92  9
2.917  30.64  25
2.598  34.52  24
2.544  35.28  100
1.940  46.82  16
1.684  54.48  19
1.489  62.34  20
1.413  66.11  22
1.404  66.59  16
1.116  87.41  8

***

What did the sixth record say?
For NaPrHg6, a crystal structure in Alexandria, relaxed with GGA-PBE gives the theoretical X-ray powder pattern in this record (Cu Ka).
Neutral-atom scattering factors, no anomalous dispersion.

Crystal structure
```
8
Lattice="6.737 0.000 0.000 -3.369 5.835 0.000 0.000 0.000 5.197" Properties=species:S:1:pos:R:3 pbc="T T T"
Na 0.000 0.000 0.000
Pr 0.000 3.890 2.598
Hg 1.691 0.976 2.598
Hg 3.369 0.056 0.000
Hg 1.733 2.889 0.000
Hg 5.047 0.976 2.598
Hg 3.369 3.883 2.598
Hg 5.005 2.889 0.000
```

The 10 most intense peaks (2θ from 15° to 90°), by angle:
d [Å]  two_theta  Rel. int.
3.881  22.92  9
2.917  30.64  25
2.598  34.52  24
2.544  35.28  100
1.940  46.82  16
1.684  54.48  19
1.489  62.34  20
1.413  66.11  22
1.404  66.59  16
1.116  87.41  8

***

Q: Which formula does entry 5 have?
A: Cs3Ce6Cl20